Structure and simulated powder diffraction line list of LaIn2Cu9 (a structure optimized by DFT (PBE); Cu Kα, 1.54184 Å).
Peak positions follow from Bragg's law for the DFT cell and can differ from measured ones.

Cell and atoms:
```
data_LaIn2Cu9
_symmetry_space_group_name_H-M 'P 1'
_symmetry_Int_Tables_number 1
_symmetry_space_group_name_Hall 'P 1'
_cell_length_a 8.5186
_cell_length_b 8.5186
_cell_length_c 5.0465
_cell_angle_alpha 90.00
_cell_angle_beta 90.00
_cell_angle_gamma 90.00
loop_
_atom_site_label
_atom_site_type_symbol
_atom_site_fract_x
_atom_site_fract_y
_atom_site_fract_z
La1 La 0.0000 0.0000 0.0000
La2 La 0.5000 0.5000 0.0000
In1 In 0.1225 0.3775 0.0000
In2 In 0.3775 0.8775 0.0000
In3 In 0.6225 0.1225 0.0000
In4 In 0.8775 0.6225 0.0000
Cu1 Cu 0.0000 0.5000 0.5000
Cu2 Cu 0.0643 0.2076 0.5000
Cu3 Cu 0.1766 0.6766 0.2466
Cu4 Cu 0.1766 0.6766 0.7534
Cu5 Cu 0.2076 0.9357 0.5000
Cu6 Cu 0.2924 0.4357 0.5000
Cu7 Cu 0.3234 0.1766 0.2466
Cu8 Cu 0.3234 0.1766 0.7534
Cu9 Cu 0.4357 0.7076 0.5000
Cu10 Cu 0.5000 0.0000 0.5000
Cu11 Cu 0.5643 0.2924 0.5000
Cu12 Cu 0.6766 0.8234 0.2466
Cu13 Cu 0.6766 0.8234 0.7534
Cu14 Cu 0.7076 0.5643 0.5000
Cu15 Cu 0.7924 0.0643 0.5000
Cu16 Cu 0.8234 0.3234 0.2466
Cu17 Cu 0.8234 0.3234 0.7534
Cu18 Cu 0.9357 0.7924 0.5000
```

Principal peaks in the range 2θ = 15–90°, most intense first:
- 2θ 37.86, d 2.376, intensity 100.0, hkl 3 1 1
- 2θ 43.00, d 2.104, intensity 79.5, hkl 2 1 2
- 2θ 42.24, d 2.140, intensity 43.6, hkl 3 2 1
- 2θ 43.82, d 2.066, intensity 37.6, hkl 4 1 0
- 2θ 41.60, d 2.171, intensity 30.3, hkl 2 0 2
- 2θ 33.26, d 2.694, intensity 22.1, hkl 3 1 0
- 2θ 34.69, d 2.586, intensity 21.9, hkl 2 2 1
- 2θ 35.58, d 2.523, intensity 18.0, hkl 0 0 2
- 2θ 65.41, d 1.427, intensity 18.0, hkl 3 1 3
- 2θ 67.21, d 1.393, intensity 16.9, hkl 5 1 2